The following is a simulated powder X-ray diffraction pattern of Li2MnVP2O8F2. It was derived from a DFT-relaxed cell (GGA+U, the Materials Project), using λ = 1.5418 Å (Cu Kα).

Main lines, by angle (2θ = 10–80°):
4.948 Å, 17.93°, rel. 51, hkl 0 1 2; 4.849 Å, 18.30°, rel. 38, hkl 1 1 0; 4.757 Å, 18.65°, rel. 61, hkl 1 0 1; 3.452 Å, 25.81°, rel. 29, hkl 1 0 -2; 3.404 Å, 26.18°, rel. 94, hkl 1 2 -1; 3.389 Å, 26.30°, rel. 100, hkl 0 3 0; 3.063 Å, 29.15°, rel. 99, hkl 1 1 3; 2.579 Å, 34.78°, rel. 35, hkl 1 1 -3; 2.471 Å, 36.35°, rel. 32, hkl -1 2 3; 1.653 Å, 55.60°, rel. 32, hkl 2 -2 4

Crystal structure
Unit cell a=5.2005 b=10.4871 c=10.5045 alpha=78.37 beta=82.71 gamma=80.53
Fractional coordinates of all 48 atoms:
Li 0.0043 0.0804 0.2702
Li 0.3332 0.5871 0.3980
Li 0.3327 0.7463 0.9339
Li 0.6673 0.2537 0.0661
Li 0.6668 0.4129 0.6020
Li 0.9957 0.9196 0.7298
Mn 0.3320 0.6660 0.6672
Mn 0.5000 0.0000 0.5000
Mn 0.6680 0.3340 0.3328
V 0.0000 0.0000 0.0000
V 0.1681 0.3319 0.8332
V 0.8319 0.6681 0.1668
P 0.1483 0.2942 0.5290
P 0.1878 0.3731 0.1366
P 0.4824 0.9625 0.1997
P 0.5176 0.0375 0.8003
P 0.8122 0.6269 0.8634
P 0.8517 0.7058 0.4710
O 0.0280 0.3236 0.6652
O 0.0581 0.6999 0.8163
O 0.0763 0.6396 0.5581
O 0.1193 0.5213 0.1338
O 0.2196 0.1467 0.5309
O 0.2575 0.0260 0.1127
O 0.2765 0.9627 0.8514
O 0.3064 0.3421 0.0011
O 0.3632 0.9930 0.3354
O 0.3924 0.3689 0.4809
O 0.4110 0.3076 0.2243
O 0.4499 0.1853 0.8001
O 0.5501 0.8147 0.1999
O 0.5890 0.6924 0.7757
O 0.6076 0.6311 0.5191
O 0.6368 0.0070 0.6646
O 0.6936 0.6579 0.9989
O 0.7235 0.0373 0.1486
O 0.7425 0.9740 0.8873
O 0.7804 0.8533 0.4691
O 0.8807 0.4787 0.8662
O 0.9237 0.3604 0.4419
O 0.9419 0.3001 0.1837
O 0.9720 0.6764 0.3348
F 0.0672 0.8014 0.0626
F 0.2514 0.8691 0.6040
F 0.4051 0.4597 0.7321
F 0.5949 0.5403 0.2679
F 0.7486 0.1309 0.3960
F 0.9328 0.1986 0.9374